Structure and theoretical XRD peak list of Tm7Mg2Ru2 (a crystal structure in Alexandria, relaxed with PBE; Cu Ka).
Intensities are scaled so that the largest is 100.

Main lines, in order of rising 2θ (15 to 90 degrees two-theta):
2θ (°)  I/Imax
27.8  95
28.6  42
30.0  23
33.2  58
33.7  29
37.2  42
37.7  100
45.4  26
57.4  26
62.4  34

Atomic structure:
a b c (Å): 6.7111 6.7111 7.1371
angles (deg): 90.00 90.00 106.99
Element x y z (fractional)
Tm1 0.0000 0.0000 0.0000
Tm2 0.0000 0.5000 0.2461
Tm3 0.0000 0.5000 0.7539
Tm4 0.5000 0.0000 0.2461
Tm5 0.5000 0.0000 0.7539
Tm6 0.5000 0.5000 0.2354
Tm7 0.5000 0.5000 0.7646
Mg1 0.1741 0.1741 0.5000
Mg2 0.8259 0.8259 0.5000
Ru1 0.2904 0.7096 0.0000
Ru2 0.7096 0.2904 0.0000